No. 1
# HfZr2Ni4Bi4
Calculated X-ray diffraction stick pattern, Cu Kα, 1.54184 Å. Input: a structure optimized by DFT (GGA-PBE).
No peak broadening, texture or thermal motion is included.

Unit cell a=7.567 b=7.567 c=7.567 alpha=131.39 beta=131.39 gamma=71.19
Fractional positions:
Hf  0.000  0.000  0.000
Zr  0.250  0.750  0.500
Zr  0.750  0.250  0.500
Ni  0.105  0.105  0.467
Ni  0.362  0.895  0.000
Ni  0.638  0.638  0.533
Ni  0.895  0.362  0.000
Bi  0.000  0.500  0.500
Bi  0.268  0.268  0.000
Bi  0.500  0.000  0.500
Bi  0.732  0.732  0.000

Peak list (10 most intense, 2θ = 15–90°, low angle first)
24.86 deg, 3.582 Å, rel. 51
26.01 deg, 3.426 Å, rel. 15
28.66 deg, 3.115 Å, rel. 58
29.02 deg, 3.077 Å, rel. 25
40.98 deg, 2.202 Å, rel. 54
41.25 deg, 2.189 Å, rel. 100
48.53 deg, 1.876 Å, rel. 17
51.00 deg, 1.791 Å, rel. 23
59.35 deg, 1.557 Å, rel. 18
74.83 deg, 1.269 Å, rel. 34


No. 2
# Hf2Bi2OsPd
Calculated X-ray diffraction stick pattern, Cu Kα, 1.54184 Å. Input: a structure optimized by DFT (GGA-PBE).
No peak broadening, texture or thermal motion is included.

Unit cell a=7.914 b=7.914 c=7.914 alpha=131.72 beta=131.72 gamma=70.66
Fractional positions:
Hf  0.115  0.625  0.990
Hf  0.375  0.365  0.490
Hf  0.635  0.125  0.010
Hf  0.875  0.885  0.510
Bi  0.125  0.125  0.500
Bi  0.375  0.875  0.000
Bi  0.625  0.625  0.500
Bi  0.875  0.375  0.000
Os  0.000  0.000  0.000
Os  0.750  0.250  0.500
Pd  0.250  0.750  0.500
Pd  0.500  0.500  0.000

Peak list (10 most intense, 2θ = 15–90°, low angle first)
23.83 deg, 3.734 Å, rel. 20
27.59 deg, 3.233 Å, rel. 25
39.41 deg, 2.286 Å, rel. 100
46.58 deg, 1.950 Å, rel. 10
48.78 deg, 1.867 Å, rel. 7
56.91 deg, 1.618 Å, rel. 11
64.39 deg, 1.447 Å, rel. 6
71.43 deg, 1.321 Å, rel. 24
71.54 deg, 1.319 Å, rel. 12
84.85 deg, 1.143 Å, rel. 8


No. 3
# Hf3Zr3BiSbOs
Calculated X-ray diffraction stick pattern, Cu Kα, 1.54184 Å. Input: a structure optimized by DFT (GGA-PBE).
No peak broadening, texture or thermal motion is included.

Unit cell a=7.914 b=7.914 c=3.663 alpha=90.00 beta=90.00 gamma=120.00
Fractional positions:
Hf  0.003  0.757  0.000
Hf  0.243  0.246  0.000
Hf  0.754  0.997  0.000
Zr  0.008  0.401  0.500
Zr  0.392  0.992  0.500
Zr  0.599  0.608  0.500
Bi  0.667  0.333  0.000
Sb  0.333  0.667  0.000
Os  0.000  0.000  0.500

Peak list (10 most intense, 2θ = 15–90°, low angle first)
22.47 deg, 3.957 Å, rel. 24
33.33 deg, 2.688 Å, rel. 82
34.63 deg, 2.590 Å, rel. 66
35.89 deg, 2.502 Å, rel. 100
39.44 deg, 2.285 Å, rel. 57
42.75 deg, 2.115 Å, rel. 92
49.79 deg, 1.831 Å, rel. 25
62.06 deg, 1.496 Å, rel. 45
64.49 deg, 1.445 Å, rel. 45
65.30 deg, 1.429 Å, rel. 26